Record 1
# Li4MnCo2O7
Simulated powder X-ray diffraction pattern, Cu Kα (λ = 1.5418 Å). Input: a cell relaxed with PBE+U.
No peak broadening, texture or thermal motion is included.

Crystal structure
Cell: 2.9859 6.4515 13.6328 Å, 83.34 86.16 76.77°
Space group P1 (No. 1)
Unique sites:
Li (0.0000, 0.0000, 0.0000)
Li (0.0379, 0.4941, 0.4942)
Li (0.1362, 0.4326, 0.2944)
Li (0.2984, 0.8556, 0.5716)
Li (0.4358, 0.2931, 0.8561)
Li (0.5824, 0.7174, 0.1424)
Li (0.7138, 0.1611, 0.4293)
Li (0.8827, 0.5602, 0.7138)
Mn (0.1546, 0.9314, 0.7853)
Mn (0.4468, 0.7810, 0.3612)
Co (0.2781, 0.3597, 0.0693)
Co (0.6015, 0.2267, 0.6361)
Co (0.7045, 0.6444, 0.9296)
Co (0.8542, 0.0888, 0.2163)
O (0.1074, 0.6676, 0.0327)
O (0.1980, 0.1801, 0.5455)
O (0.3093, 0.0967, 0.3175)
O (0.3085, 0.6230, 0.8266)
O (0.4127, 0.0537, 0.1117)
O (0.4577, 0.5048, 0.6142)
O (0.5534, 0.9496, 0.8928)
O (0.5793, 0.4893, 0.3892)
O (0.7230, 0.3873, 0.1734)
O (0.7507, 0.9165, 0.6786)
O (0.8293, 0.3407, 0.9668)
O (0.9005, 0.8206, 0.4505)
O (0.9847, 0.7714, 0.2618)
O (0.9991, 0.2365, 0.7466)

Peak list (10 most intense, 2θ = 15–90°, in order of rising 2θ)
2theta	I/Imax	index
18.3	1000	0 1 2
34.8	172	1 1 -2
36.1	127	1 0 3
36.7	113	0 2 -3
37.6	86	1 -1 1
41.8	320	1 0 -4
43.7	276	1 1 5
44.7	254	0 3 -1
62.2	82	2 1 1
64.8	90	1 -2 6

---

Record 2
# Li5Mn2CoO8
Simulated powder X-ray diffraction pattern, Cu Kα (λ = 1.5418 Å). Input: a cell relaxed with PBE+U.
No peak broadening, texture or thermal motion is included.

Crystal structure
Cell: 5.1122 7.6409 7.7150 Å, 96.68 103.40 103.71°
Space group P1 (No. 1)
Unique sites:
Li (0.0000, 0.0000, 0.0000)
Li (0.0009, 0.1235, 0.3683)
Li (0.0018, 0.6243, 0.8689)
Li (0.0041, 0.8733, 0.6194)
Li (0.0052, 0.2477, 0.7373)
Li (0.0065, 0.7496, 0.2336)
Li (0.5021, 0.3748, 0.6207)
Li (0.5016, 0.8739, 0.1177)
Li (0.9970, 0.4997, 0.5052)
Li (0.9989, 0.3751, 0.1181)
Mn (0.4938, 0.5010, 0.9930)
Mn (0.4989, 0.2480, 0.2452)
Mn (0.5044, 0.0008, 0.4940)
Mn (0.5100, 0.7481, 0.7443)
Co (0.5013, 0.6239, 0.3687)
Co (0.5026, 0.1244, 0.8697)
O (0.2647, 0.2611, 0.0097)
O (0.2684, 0.0136, 0.2609)
O (0.2700, 0.5146, 0.7585)
O (0.2748, 0.6169, 0.1131)
O (0.2758, 0.7560, 0.5034)
O (0.2826, 0.3772, 0.3627)
O (0.2903, 0.1144, 0.6227)
O (0.2954, 0.8817, 0.8600)
O (0.7086, 0.3669, 0.8778)
O (0.7129, 0.1339, 0.1157)
O (0.7202, 0.8713, 0.3753)
O (0.7268, 0.4924, 0.2339)
O (0.7288, 0.6316, 0.6244)
O (0.7339, 0.7343, 0.9788)
O (0.7351, 0.2344, 0.4774)
O (0.7406, 0.9882, 0.7289)

Peak list (10 most intense, 2θ = 15–90°, in order of rising 2θ)
2theta	I/Imax	index
15.4	144	0 1 -1
18.6	1000	1 0 0
24.1	92	0 0 2
24.3	101	0 2 0
35.6	122	-1 2 2
36.4	119	0 1 -3
36.7	104	0 3 -1
43.1	289	-2 2 2
44.1	274	1 -1 3
44.6	264	1 3 -1

---

Record 3
# Li6Mn3CoO10
Simulated powder X-ray diffraction pattern, Cu Kα (λ = 1.5418 Å). Input: a cell relaxed with PBE+U.
No peak broadening, texture or thermal motion is included.

Crystal structure
Cell: 2.9442 5.0772 12.6411 Å, 78.79 88.43 75.78°
Space group P1 (No. 1)
Unique sites:
Li (0.0000, 0.0000, 0.0000)
Li (0.0907, 0.8056, 0.6997)
Li (0.2788, 0.4098, 0.0881)
Li (0.5018, 0.0022, 0.5032)
Li (0.7228, 0.5889, 0.9140)
Li (0.9088, 0.1874, 0.3003)
Mn (0.1928, 0.6018, 0.4031)
Mn (0.4079, 0.1976, 0.8062)
Mn (0.5918, 0.8002, 0.1937)
Co (0.8157, 0.3926, 0.6022)
O (0.0143, 0.9401, 0.8428)
O (0.1349, 0.6790, 0.5515)
O (0.2069, 0.5326, 0.2519)
O (0.3446, 0.3050, 0.9366)
O (0.4786, 0.1186, 0.6545)
O (0.5156, 0.8869, 0.3467)
O (0.6563, 0.6941, 0.0634)
O (0.7923, 0.4628, 0.7482)
O (0.8754, 0.3104, 0.4569)
O (0.9855, 0.0572, 0.1571)

Peak list (10 most intense, 2θ = 15–90°, in order of rising 2θ)
2theta	I/Imax	index
18.4	1000	0 1 1
21.0	87	0 1 -1
34.9	146	1 0 2
36.2	110	0 0 5
36.7	113	1 1 -2
41.9	321	1 -1 1
44.2	270	0 1 6
44.5	269	1 2 -1
62.3	153	0 3 -2
63.3	77	2 1 0